Theoretical PXRD pattern of NpNiPH for CuKα, from a structure optimized by DFT (GGA-PBE).
Kinematic intensities with the Lorentz-polarization factor, no thermal factor.

Cell and atoms:
```
data_NpNiPH
_chemical_formula_sum 'Np1 Ni1 P1 H1'
_cell_length_a 3.9339
_cell_length_b 3.9339
_cell_length_c 3.8593
_cell_angle_alpha 90.00
_cell_angle_beta 90.00
_cell_angle_gamma 120.00
_symmetry_space_group_name_H-M 'P 3 m 1'
_symmetry_Int_Tables_number 156
_symmetry_space_group_name_Hall 'P 3 -2"'
loop_
_atom_site_label
_atom_site_fract_x
_atom_site_fract_y
_atom_site_fract_z
Np1 0.0000 0.0000 0.0000
Ni1 0.6667 0.3333 0.4756
P1 0.3333 0.6667 0.5202
H1 0.6667 0.3333 0.0252
```

Most intense lines, 5° ≤ 2θ ≤ 70°, sorted by position:
hkl 0 0 1, 2θ = 23.0°, rel. 11
hkl 1 0 0, 2θ = 26.2°, rel. 45
hkl 1 0 1, 2θ = 35.1°, rel. 100
hkl 1 1 0, 2θ = 46.2°, rel. 32
hkl 0 0 2, 2θ = 47.1°, rel. 10
hkl 1 1 1, 2θ = 52.2°, rel. 9
hkl 2 0 0, 2θ = 53.8°, rel. 7
hkl 0 1 2, 2θ = 54.7°, rel. 14
hkl 0 2 1, 2θ = 59.3°, rel. 22
hkl 1 1 2, 2θ = 68.1°, rel. 20

=====

Theoretical PXRD pattern of NpNi2H8Ru for CuKα, from a structure optimized by DFT (GGA-PBE).
Kinematic intensities with the Lorentz-polarization factor, no thermal factor.

Cell and atoms:
```
data_NpNi2H8Ru
_chemical_formula_sum 'Np3 Ni6 H24 Ru3'
_cell_length_a 4.5264
_cell_length_b 4.5264
_cell_length_c 15.5333
_cell_angle_alpha 90.00
_cell_angle_beta 90.00
_cell_angle_gamma 120.00
_symmetry_space_group_name_H-M 'R -3'
_symmetry_Int_Tables_number 148
_symmetry_space_group_name_Hall '-R 3'
loop_
_atom_site_label
_atom_site_fract_x
_atom_site_fract_y
_atom_site_fract_z
Np1 0.0000 0.0000 0.0000
Ni1 0.0000 0.0000 0.2189
H1 0.0000 0.0000 0.3206
H2 0.0186 0.7061 0.1132
Ru1 0.0000 0.0000 0.5000
```

Most intense lines, 5° ≤ 2θ ≤ 70°, sorted by position:
hkl 1 0 1, 2θ = 23.4°, rel. 28
hkl 0 1 2, 2θ = 25.5°, rel. 45
hkl 1 0 4, 2θ = 32.5°, rel. 100
hkl 0 0 6, 2θ = 34.6°, rel. 12
hkl 0 1 5, 2θ = 36.9°, rel. 21
hkl 1 1 0, 2θ = 39.8°, rel. 68
hkl 0 2 4, 2θ = 52.3°, rel. 26
hkl 0 1 8, 2θ = 52.6°, rel. 16
hkl 2 -1 6, 2θ = 53.8°, rel. 22
hkl 2 1 4, 2θ = 67.7°, rel. 24